For BaLiCd6, a structure optimized by DFT (PBE) gives the calculated powder diffractogram in this record (Cu Kα, 1.54184 Å).

Peak list (12 most intense, 2θ from 5° to 70°, in order of rising 2θ)
2θ (°)  I (rel.)  h k l
26.7  22  1 0 2
27.9  100  1 1 1
28.9  12  0 0 3
32.6  17  1 1 2
34.5  28  1 0 3
37.3  63  2 0 0
39.4  49  1 1 3
47.9  11  2 0 3
51.8  17  2 1 3
53.8  21  2 2 0
61.7  20  3 1 1
68.7  17  3 1 3

Crystal structure
Unit cell a=4.8162 b=4.8162 c=9.2615 alpha=90.00 beta=90.00 gamma=90.00
Space group P4/mmm (No. 123)
Asymmetric unit:
Ba (0.0000, 0.0000, 0.0000) x1
Li (0.0000, 0.0000, 0.5000) x1
Cd (0.0000, 0.5000, 0.3389) x4
Cd (0.5000, 0.5000, 0.1548) x2